(1)
The following is a calculated PXRD pattern of MgFe12O12F12. It was derived from a crystal structure in the Materials Project, relaxed with PBE+U, using Cu Kα (λ = 1.5418 Å).

Top 12 peaks for 2θ from 10° to 80°, low angle first:
| Position (°2θ) | d (Å) | intensity | hkl |
| --- | --- | --- | --- |
| 10.40 | 8.508 | 22 | 1 0 -1 |
| 24.72 | 3.602 | 75 | 2 0 -3 |
| 27.11 | 3.290 | 100 | 2 0 3 |
| 27.25 | 3.273 | 22 | 1 0 4 |
| 29.44 | 3.034 | 32 | 2 0 -4 |
| 33.99 | 2.638 | 86 | 2 1 0 |
| 34.34 | 2.612 | 53 | 0 1 3 |
| 39.82 | 2.264 | 23 | 2 1 3 |
| 52.05 | 1.757 | 20 | 4 1 -4 |
| 52.19 | 1.753 | 30 | 4 1 3 |
| 52.97 | 1.729 | 20 | 2 1 6 |
| 59.26 | 1.559 | 35 | 0 2 0 |

Crystal structure
```
37
Lattice="9.9346 0.0000 0.0000 0.0000 3.1182 0.0000 -1.3023 0.0000 14.3209" Properties=species:S:1:pos:R:3 pbc="T T T"
Mg 0.0000 0.0000 0.0000
Fe -0.6106 0.0000 7.2637
Fe -0.3011 0.0000 10.9193
Fe 1.9136 1.5591 5.3185
Fe 1.4822 1.5591 13.1650
Fe 1.8389 1.5591 9.3633
Fe 4.7386 0.0000 2.1526
Fe 4.5278 0.0000 6.9985
Fe 4.2617 0.0000 11.7962
Fe 7.0154 1.5591 0.0401
Fe 6.5947 1.5591 4.7269
Fe 6.7375 1.5591 9.1428
Fe 9.4678 0.0000 2.8453
O 0.3079 1.5591 6.3067
O 0.2692 0.0000 13.1779
O 0.8156 0.0000 8.7806
O 0.9391 1.5591 11.1160
O 2.9201 0.0000 5.7921
O 3.2727 1.5591 12.4813
O 5.7024 1.5591 1.3658
O 5.3500 1.5591 6.2018
O 5.9259 0.0000 3.7631
O 5.7761 0.0000 8.5611
O 5.4673 0.0000 13.2984
O 8.3652 1.5591 8.1394
F 0.4193 1.5591 1.4367
F 1.1667 0.0000 3.9446
F 3.5208 0.0000 0.4083
F 3.6110 1.5591 2.8781
F 3.0974 0.0000 10.1261
F 3.3585 1.5591 8.0102
F 5.3523 1.5591 10.8904
F 7.7418 0.0000 5.7012
F 8.2081 0.0000 1.1674
F 7.7003 0.0000 10.4610
F 8.3972 1.5591 3.5866
F 7.7386 1.5591 13.5149
```

=====

(2)
The following is a calculated PXRD pattern of MgFe6O6F6. It was derived from a crystal structure in the Materials Project, relaxed with PBE+U, using Cu Kα (λ = 1.5418 Å).

Top 12 peaks for 2θ from 10° to 80°, low angle first:
| Position (°2θ) | d (Å) | intensity | hkl |
| --- | --- | --- | --- |
| 24.33 | 3.659 | 59 | 0 1 -3 |
| 26.74 | 3.334 | 100 | 0 1 3 |
| 29.18 | 3.060 | 44 | 0 1 -4 |
| 33.66 | 2.662 | 72 | 1 -1 0 |
| 36.31 | 2.474 | 33 | 1 0 3 |
| 36.43 | 2.466 | 34 | 1 0 -4 |
| 41.46 | 2.178 | 16 | 0 2 3 |
| 49.80 | 1.831 | 34 | 1 2 -4 |
| 52.79 | 1.734 | 25 | 1 -1 6 |
| 52.97 | 1.729 | 19 | 1 1 -7 |
| 54.94 | 1.671 | 19 | 0 2 -7 |
| 59.41 | 1.556 | 26 | 2 0 -1 |

Crystal structure
```
19
Lattice="3.1116 0.0000 0.0000 -0.0100 5.1626 0.0000 -1.5070 -1.3266 14.2235" Properties=species:S:1:pos:R:3 pbc="T T T"
Mg 0.0000 0.0000 0.0000
Fe 0.0206 1.3068 4.7743
Fe 0.0075 1.3181 9.1030
Fe 0.0129 1.2984 13.7346
Fe 1.5600 4.1338 2.7326
Fe 1.5734 3.5968 6.8767
Fe 1.5523 -0.9143 11.3746
O 0.0146 -0.1569 3.3006
O 0.0176 2.9214 5.9465
O -0.0044 -0.4642 12.6989
O 1.5427 4.2220 0.8308
O 1.5644 2.2218 8.2920
O 1.5612 0.5295 10.2143
F -0.0342 1.7786 0.7071
F 0.0143 -0.4065 7.9188
F -0.0082 3.1806 10.5507
F 1.5697 2.3519 3.4604
F 1.5770 0.1874 5.7321
F 1.5619 2.4222 12.7472
```

=====

(3)
The following is a calculated PXRD pattern of MgFe4O4F4. It was derived from a crystal structure in the Materials Project, relaxed with PBE+U, using Cu Kα (λ = 1.5418 Å).

Top 12 peaks for 2θ from 10° to 80°, low angle first:
| Position (°2θ) | d (Å) | intensity | hkl |
| --- | --- | --- | --- |
| 23.21 | 3.832 | 92 | 0 1 -2 |
| 26.89 | 3.315 | 100 | 0 1 2 |
| 30.35 | 2.945 | 23 | 0 1 -3 |
| 34.36 | 2.610 | 58 | 1 -1 0 |
| 34.62 | 2.591 | 30 | 0 2 0 |
| 34.97 | 2.566 | 77 | 1 0 2 |
| 37.93 | 2.372 | 47 | 1 1 -2 |
| 49.35 | 1.847 | 52 | 1 -1 4 |
| 53.29 | 1.719 | 25 | -1 1 4 |
| 53.39 | 1.716 | 26 | 1 1 4 |
| 55.42 | 1.658 | 27 | 0 2 4 |
| 61.38 | 1.510 | 33 | 2 0 0 |

Crystal structure
```
13
Lattice="3.0206 0.0000 0.0000 -0.0081 5.2375 0.0000 -0.0113 -1.4153 9.7218" Properties=species:S:1:pos:R:3 pbc="T T T"
Mg 0.0000 0.0000 0.0000
Fe 0.0257 4.2261 2.6404
Fe 0.0687 -1.0027 6.9330
Fe 1.5038 1.2434 9.5116
Fe 1.5724 1.9134 4.7309
O 0.0613 2.6030 3.7840
O 1.5104 4.2994 1.0491
O 1.5240 -0.5044 8.3514
O 1.5703 3.3810 6.0737
F 0.0049 1.6874 0.9366
F -0.0004 2.3305 8.3951
F 0.0652 0.7842 5.8848
F 1.5601 0.1744 3.6243
```